Entry 1:
Calculated XRD peak list of SO4 for Cu Kα, from a GGA-PBE-relaxed structure.

Crystal structure
Lattice parameters (Å, degrees): 5.3557 5.3557 5.3557 60.00 60.00 60.00
Fractional coordinates of all 5 atoms:
S  0.0000  0.0000  0.0000
O  0.3391  0.8870  0.8870
O  0.8870  0.3391  0.8870
O  0.8870  0.8870  0.3391
O  0.8870  0.8870  0.8870

Largest 10 diffraction maxima, sorted by position, 2θ = 15–90°:
2θ 20.31, intensity 100
2θ 23.49, intensity 22
2θ 33.46, intensity 10
2θ 39.46, intensity 7
2θ 41.29, intensity 15
2θ 52.68, intensity 12
2θ 59.82, intensity 3
2θ 70.31, intensity 5
2θ 74.05, intensity 8
2θ 84.93, intensity 3

---

Entry 2:
Calculated XRD peak list of UFeCo for Cu Kα, from a GGA-PBE-relaxed structure.

Crystal structure
Lattice parameters (Å, degrees): 4.8947 4.8947 4.8947 120.65 119.84 89.58
Fractional coordinates of all 6 atoms:
U  0.3765  0.1265  0.2500
U  0.6235  0.8735  0.7500
Fe  0.0000  0.5000  0.5000
Fe  0.5000  0.5000  0.0000
Co  0.0000  0.0000  0.5000
Co  0.0000  0.5000  0.0000

Largest 10 diffraction maxima, sorted by position, 2θ = 15–90°:
2θ 22.18, intensity 26
2θ 22.37, intensity 25
2θ 36.70, intensity 100
2θ 37.10, intensity 19
2θ 43.20, intensity 23
2θ 43.33, intensity 70
2θ 43.65, intensity 48
2θ 70.47, intensity 17
2θ 71.18, intensity 16
2θ 78.11, intensity 21

---

Question: Which formula does entry 2 have?
Answer: UFeCo